# NaHfMg14O15
Calculated XRD peak list, Cu Ka. Input: a structure optimized by DFT (GGA-PBE).
Peak positions follow from Bragg's law for the DFT cell and can differ from measured ones.

Peak list (8 most intense, 15° ≤ 2θ ≤ 90°, in order of rising 2θ)
2θ (°), intensity
22.99, 45.6
25.22, 31.6
29.24, 30.4
31.04, 44.0
36.01, 46.8
41.74, 100.0
41.97, 48.9
60.68, 57.4

Structural model:
```
NaHfMg14O15
1.0
4.330 0.000 0.000
0.000 8.650 0.000
0.000 0.000 8.611
Na Hf Mg O
1 1 14 15
Cartesian
0.000 0.000 0.000
0.000 4.325 8.545
0.000 0.000 4.302
0.000 2.077 6.407
0.000 2.101 2.197
0.000 4.325 4.299
0.000 6.549 2.197
0.000 6.573 6.407
2.165 0.000 2.140
2.165 0.000 6.467
2.165 2.039 8.603
2.165 2.142 4.311
2.165 4.325 2.202
2.165 4.325 6.429
2.165 6.508 4.311
2.165 6.611 8.603
0.000 0.000 2.277
0.000 0.000 6.330
0.000 2.196 4.303
0.000 2.275 0.005
0.000 4.325 2.189
0.000 6.375 0.005
0.000 6.454 4.303
2.165 0.000 0.006
2.165 0.000 4.296
2.165 2.124 6.461
2.165 2.170 2.141
2.165 4.325 0.045
2.165 4.325 4.303
2.165 6.480 2.141
2.165 6.526 6.461
```